P3Pb5O12F: calculated X-ray powder pattern (Cu Kα (λ = 1.5418 Å)), based on a DFT-relaxed cell (PBE, the Materials Project).
Lines closer than 0.1° are merged.

The 6 most intense peaks (2θ from 10° to 90°), low angle first:
- hkl 1 1 1, 21.33 deg, rel. 22
- hkl 1 0 2, 25.92 deg, rel. 26
- hkl 2 1 0, 27.16 deg, rel. 23
- hkl 1 1 2, 29.75 deg, rel. 100
- hkl 3 0 0, 30.88 deg, rel. 27
- hkl 4 0 2, 48.47 deg, rel. 21

Cell and atoms:
a = 10.0296 Å, b = 10.0296 Å, c = 7.4845 Å
α = 90.00°, β = 90.00°, γ = 120.00°
Space group P6_3/m (No. 176)
Symmetry-distinct sites (fractional):
P 0.0300 0.4009 0.2500 (multiplicity 6)
Pb 0.0046 0.7544 0.2500 (multiplicity 6)
Pb 0.3333 0.6667 0.5023 (multiplicity 4)
O 0.0834 0.3470 0.0824 (multiplicity 12)
O 0.1185 0.5821 0.2500 (multiplicity 6)
O 0.1463 0.6630 0.7500 (multiplicity 6)
F 0.0000 0.0000 0.2500 (multiplicity 2)

PrYAl4: calculated X-ray powder pattern (Cu Kα (λ = 1.5418 Å)), based on a DFT-relaxed cell (PBE, the Materials Project).
Lines closer than 0.1° are merged.

The 6 most intense peaks (2θ from 10° to 90°), low angle first:
- hkl 1 1 1, 19.25 deg, rel. 47
- hkl 2 2 0, 31.68 deg, rel. 86
- hkl 3 1 1, 37.34 deg, rel. 100
- hkl 4 2 2, 56.44 deg, rel. 33
- hkl 5 1 1, 60.20 deg, rel. 33
- hkl 4 4 0, 66.18 deg, rel. 22

Cell and atoms:
a = 7.987 Å, b = 7.987 Å, c = 7.987 Å
α = 90.00°, β = 90.00°, γ = 90.00°
Space group F-43m (No. 216)
Symmetry-distinct sites (fractional):
Pr 0.000 0.000 0.000 (multiplicity 4)
Y 0.250 0.250 0.250 (multiplicity 4)
Al 0.125 0.125 0.625 (multiplicity 16)

ErSiRu2C: calculated X-ray powder pattern (Cu Kα (λ = 1.5418 Å)), based on a DFT-relaxed cell (PBE, the Materials Project).
Lines closer than 0.1° are merged.

The 6 most intense peaks (2θ from 10° to 90°), low angle first:
- hkl 0 2 2, 29.71 deg, rel. 37
- hkl 1 3 0, 33.83 deg, rel. 76
- hkl 0 4 1, 34.54 deg, rel. 42
- hkl 1 1 2, 35.52 deg, rel. 100
- hkl 1 3 1, 36.16 deg, rel. 37
- hkl 0 2 3, 41.23 deg, rel. 31

Cell and atoms:
a = 3.777 Å, b = 11.151 Å, c = 7.142 Å
α = 90.00°, β = 90.00°, γ = 90.00°
Space group Cmcm (No. 63)
Symmetry-distinct sites (fractional):
Er 0.000 0.046 0.250 (multiplicity 4)
Si 0.000 0.232 0.750 (multiplicity 4)
Ru 0.000 0.337 0.056 (multiplicity 8)
C 0.000 0.500 0.000 (multiplicity 4)

K3EuCl6: calculated X-ray powder pattern (Cu Kα (λ = 1.5418 Å)), based on a DFT-relaxed cell (PBE, the Materials Project).
Lines closer than 0.1° are merged.

The 6 most intense peaks (2θ from 10° to 90°), low angle first:
- hkl 1 1 1, 13.51 deg, rel. 65
- hkl 2 0 0, 15.61 deg, rel. 80
- hkl 2 2 0, 22.14 deg, rel. 84
- hkl 4 0 0, 31.52 deg, rel. 100
- hkl 4 2 0, 35.35 deg, rel. 40
- hkl 4 4 0, 45.17 deg, rel. 66

Cell and atoms:
a = 11.355 Å, b = 11.355 Å, c = 11.355 Å
α = 90.00°, β = 90.00°, γ = 90.00°
Space group Fm-3m (No. 225)
Symmetry-distinct sites (fractional):
K 0.000 0.000 0.000 (multiplicity 4)
K 0.250 0.250 0.250 (multiplicity 8)
Eu 0.000 0.000 0.500 (multiplicity 4)
Cl 0.000 0.000 0.262 (multiplicity 24)

YErTl2: calculated X-ray powder pattern (Cu Kα (λ = 1.5418 Å)), based on a DFT-relaxed cell (PBE, the Materials Project).
Lines closer than 0.1° are merged.

The 6 most intense peaks (2θ from 10° to 90°), low angle first:
- hkl 2 0 0, 23.47 deg, rel. 6
- hkl 2 2 0, 33.43 deg, rel. 100
- hkl 4 0 0, 48.00 deg, rel. 18
- hkl 4 2 2, 59.75 deg, rel. 38
- hkl 4 4 0, 70.22 deg, rel. 12
- hkl 6 2 0, 80.04 deg, rel. 17

Cell and atoms:
a = 7.582 Å, b = 7.582 Å, c = 7.582 Å
α = 90.00°, β = 90.00°, γ = 90.00°
Space group Fm-3m (No. 225)
Symmetry-distinct sites (fractional):
Y 0.000 0.000 0.000 (multiplicity 4)
Er 0.000 0.000 0.500 (multiplicity 4)
Tl 0.250 0.250 0.250 (multiplicity 8)

Sm3Ni7B2: calculated X-ray powder pattern (Cu Kα (λ = 1.5418 Å)), based on a DFT-relaxed cell (PBE, the Materials Project).
Lines closer than 0.1° are merged.

The 6 most intense peaks (2θ from 10° to 90°), low angle first:
- hkl 1 1 0, 34.77 deg, rel. 38
- hkl 1 0 5, 37.09 deg, rel. 100
- hkl 2 0 1, 40.87 deg, rel. 61
- hkl 1 1 4, 43.12 deg, rel. 77
- hkl 2 1 5, 63.87 deg, rel. 37
- hkl 2 0 9, 72.62 deg, rel. 22

Cell and atoms:
a = 5.1599 Å, b = 5.1599 Å, c = 14.4183 Å
α = 90.00°, β = 90.00°, γ = 120.00°
Space group P6_3/mmc (No. 194)
Symmetry-distinct sites (fractional):
Sm 0.3333 0.6667 0.0313 (multiplicity 4)
Sm 0.3333 0.6667 0.2500 (multiplicity 2)
Ni 0.0000 0.0000 0.0000 (multiplicity 2)
Ni 0.1652 0.3304 0.6511 (multiplicity 12)
B 0.0000 0.0000 0.2500 (multiplicity 2)
B 0.3333 0.6667 0.7500 (multiplicity 2)

La5Ir3: calculated X-ray powder pattern (Cu Kα (λ = 1.5418 Å)), based on a DFT-relaxed cell (PBE, the Materials Project).
Lines closer than 0.1° are merged.

The 6 most intense peaks (2θ from 10° to 90°), low angle first:
- hkl 2 1 1, 21.90 deg, rel. 27
- hkl 3 1 1, 28.09 deg, rel. 34
- hkl 3 2 1, 31.26 deg, rel. 30
- hkl 2 1 2, 31.99 deg, rel. 42
- hkl 4 2 0, 35.13 deg, rel. 100
- hkl 3 1 2, 36.63 deg, rel. 26

Cell and atoms:
a = 11.412 Å, b = 11.412 Å, c = 6.691 Å
α = 90.00°, β = 90.00°, γ = 90.00°
Space group P4/ncc (No. 130, origin choice 2)
Symmetry-distinct sites (fractional):
La 0.042 0.160 0.117 (multiplicity 16)
La 0.250 0.750 0.000 (multiplicity 4)
Ir 0.096 0.596 0.750 (multiplicity 8)
Ir 0.250 0.250 0.386 (multiplicity 4)